Computed powder diffraction line list of Zn6Fe for λ = 1.5418 Å (Cu Kα), from a cell relaxed with PBE.
No peak broadening, texture or thermal motion is included.

Cell lengths 5.246, 5.246, 5.246 Å; angles 60.00, 60.00, 60.00 degrees
Atoms (fractional coordinates):
1 Zn 0.000 0.000 0.500
2 Zn 0.000 0.500 0.000
3 Zn 0.000 0.500 0.500
4 Zn 0.500 0.000 0.000
5 Zn 0.500 0.000 0.500
6 Zn 0.500 0.500 0.000
7 Fe 0.000 0.000 0.000

The 10 most intense peaks (2θ from 10° to 90°), low angle first:
20.74 deg, I 10
23.99 deg, I 10
34.19 deg, I 8
40.32 deg, I 5
42.20 deg, I 100
49.12 deg, I 47
55.39 deg, I 4
61.21 deg, I 3
72.01 deg, I 28
87.15 deg, I 33